Structure and simulated PXRD pattern of Li7Mn2Co3O12 (a structure optimized by DFT (GGA+U); a wavelength of 1.5418 Å).
No peak broadening, texture or thermal motion is included.

```
Li7Mn2Co3O12
1.0
5.897 0.000 0.000
0.022 5.906 0.000
1.464 1.538 6.141
Li Mn Co O
7 2 3 12
Cartesian
0.000 0.000 0.000
0.011 2.953 0.000
1.462 1.467 2.037
2.919 5.977 4.152
2.960 2.953 0.000
4.465 1.467 1.989
5.922 5.977 4.104
1.462 4.477 2.023
5.921 2.968 4.118
2.931 2.956 4.133
2.949 0.000 0.000
4.452 4.488 2.008
1.401 1.660 4.089
1.407 4.368 4.033
1.523 4.451 0.134
3.064 2.917 6.006
2.857 5.823 2.078
2.887 3.095 2.147
4.497 4.350 3.993
4.527 1.621 4.063
4.320 4.527 0.135
5.860 2.993 6.007
5.976 3.076 2.108
5.982 5.784 2.052
```

Peak list (8 most intense, 2θ from 15° to 90°, low angle first)
2theta  I_rel
18.4  100
35.7  14
35.9  13
36.4  13
43.3  30
43.4  29
44.2  27
63.4  15

Structure and simulated PXRD pattern of Li4MnCo2O7 (a structure optimized by DFT (GGA+U); a wavelength of 1.5418 Å).
No peak broadening, texture or thermal motion is included.

```
Li4MnCo2O7
1.0
4.886 -1.433 0.000
4.886 1.433 0.000
-2.150 0.000 17.899
Li Mn Co O
8 2 4 14
Cartesian
0.000 0.000 0.000
-1.054 0.000 8.867
0.748 0.000 5.136
1.572 0.000 9.979
2.378 0.000 15.220
5.206 0.000 2.493
5.930 0.000 7.730
6.886 0.000 12.581
4.291 0.000 11.271
4.949 0.000 16.546
-0.214 0.000 13.884
2.569 0.000 1.275
3.316 0.000 6.549
7.907 0.000 3.807
-0.288 0.000 6.869
-1.118 0.000 15.907
0.576 0.000 11.933
1.864 0.000 3.241
1.266 0.000 17.179
2.446 0.000 8.090
4.157 0.000 4.331
3.523 0.000 13.256
5.082 0.000 9.633
6.192 0.000 0.679
5.841 0.000 14.467
7.143 0.000 5.516
8.686 0.000 2.012
7.963 0.000 10.852
```

Peak list (8 most intense, 2θ from 15° to 90°, low angle first)
2theta  I_rel
18.4  100
35.1  14
36.4  24
42.4  26
44.2  52
47.7  12
58.1  11
62.9  26